Entry 1:
Structure and theoretical powder diffractogram of ErLu2ZnIn2 (a structure optimized by DFT (GGA-PBE); copper Kα).
Intensities are scaled so that the largest is 100.

Lattice parameters (Å, degrees): 5.0110 5.0110 6.9208 90.00 90.00 120.00
Fractional positions:
Er (0.0000, 0.0000, 0.0000)
Lu (0.3333, 0.6667, 0.2595)
Lu (0.3333, 0.6667, 0.7405)
Zn (0.6667, 0.3333, 0.5000)
In (0.0000, 0.0000, 0.5000)
In (0.6667, 0.3333, 0.0000)

Top 12 peaks for 2θ from 10° to 80°, sorted by position:
12.79°, I 2; 20.47°, I 9; 24.21°, I 3; 33.11°, I 100; 35.84°, I 79; 44.65°, I 2; 49.59°, I 32; 52.92°, I 8; 62.68°, I 32; 64.41°, I 14; 65.57°, I 26; 75.96°, I 9

=====

Entry 2:
Structure and theoretical powder diffractogram of PrCu2 (a structure optimized by DFT (GGA-PBE); copper Kα).
Intensities are scaled so that the largest is 100.

Lattice parameters (Å, degrees): 5.5859 5.5859 5.5859 133.74 101.40 96.37
Fractional positions:
Pr (0.2927, 0.0427, 0.2500)
Pr (0.7073, 0.9573, 0.7500)
Cu (0.1098, 0.6647, 0.4451)
Cu (0.2804, 0.3353, 0.9451)
Cu (0.7196, 0.6647, 0.0549)
Cu (0.8902, 0.3353, 0.5549)

Top 12 peaks for 2θ from 10° to 80°, sorted by position:
23.53°, I 16; 34.02°, I 37; 34.73°, I 100; 34.98°, I 40; 40.10°, I 18; 41.14°, I 33; 41.80°, I 45; 55.09°, I 27; 57.53°, I 16; 58.80°, I 11; 67.55°, I 19; 70.85°, I 12